SrPaCrN4: calculated powder X-ray diffraction pattern (Cu Ka), based on a crystal structure in Alexandria, relaxed with GGA-PBE.

Top 10 peaks for 2θ = 5–70°, by intensity:
d/Å	Rel. int.
3.914	100
6.770	91
2.761	49
2.336	45
2.886	45
2.866	41
2.304	37
2.553	34
1.957	32
2.775	32

Structural model:
Lattice parameters (Å, degrees): 5.7979 5.5220 7.0726 90.00 106.83 90.00
Element x y z (fractional)
1 Sr 0.2086 0.2500 0.4232
2 Sr 0.7914 0.7500 0.5768
3 Pa 0.2770 0.2500 0.9459
4 Pa 0.7230 0.7500 0.0541
5 Cr 0.2634 0.7500 0.1802
6 Cr 0.7366 0.2500 0.8198
7 N 0.0599 0.7500 0.3244
8 N 0.0642 0.7500 0.9441
9 N 0.4711 0.5064 0.2009
10 N 0.4711 0.9936 0.2009
11 N 0.5289 0.0064 0.7991
12 N 0.5289 0.4936 0.7991
13 N 0.9358 0.2500 0.0559
14 N 0.9401 0.2500 0.6756



Pr2AlPb: calculated powder X-ray diffraction pattern (Cu Ka), based on a crystal structure in Alexandria, relaxed with GGA-PBE.

Top 10 peaks for 2θ = 5–70°, by intensity:
d/Å	Rel. int.
2.797	100
2.529	39
1.506	31
8.975	28
3.322	26
1.678	20
1.788	14
2.244	12
1.398	11
1.931	10

Structural model:
Lattice parameters (Å, degrees): 3.5761 3.5761 8.9745 90.00 90.00 90.00
Element x y z (fractional)
1 Pr 0.0000 0.0000 0.2321
2 Pr 0.0000 0.0000 0.7679
3 Al 0.5000 0.5000 0.0000
4 Pb 0.5000 0.5000 0.5000



Sm8HgRu2: calculated powder X-ray diffraction pattern (Cu Ka), based on a crystal structure in Alexandria, relaxed with GGA-PBE.

Top 10 peaks for 2θ = 5–70°, by intensity:
d/Å	Rel. int.
2.845	100
2.757	82
2.626	75
3.024	69
2.746	53
2.395	43
2.374	36
1.765	33
1.666	33
1.459	27

Structural model:
Lattice parameters (Å, degrees): 7.9856 7.9856 5.6308 97.70 97.70 113.17
Element x y z (fractional)
1 Sm 0.0697 0.3284 0.5743
2 Sm 0.2463 0.7537 0.0000
3 Sm 0.3284 0.0697 0.5743
4 Sm 0.3854 0.3854 0.1989
5 Sm 0.6146 0.6146 0.8011
6 Sm 0.6716 0.9303 0.4257
7 Sm 0.7537 0.2463 0.0000
8 Sm 0.9303 0.6716 0.4257
9 Hg 0.0000 0.0000 0.0000
10 Ru 0.3053 0.6947 0.5000
11 Ru 0.6947 0.3053 0.5000



CsNpHgI6: calculated powder X-ray diffraction pattern (Cu Ka), based on a crystal structure in Alexandria, relaxed with GGA-PBE.

Top 10 peaks for 2θ = 5–70°, by intensity:
d/Å	Rel. int.
5.387	100
2.863	95
3.889	89
7.948	64
2.782	59
3.493	32
1.895	32
2.646	29
2.774	29
1.946	19

Structural model:
Lattice parameters (Å, degrees): 9.1893 9.1893 7.3270 90.01 90.01 120.25
Element x y z (fractional)
1 Cs 0.0000 0.0000 0.0000
2 Np 0.3325 0.6675 0.0000
3 Hg 0.6655 0.3345 0.5000
4 I 0.0687 0.4091 0.2341
5 I 0.0707 0.6620 0.7640
6 I 0.3379 0.4111 0.7640
7 I 0.3380 0.9293 0.2360
8 I 0.5889 0.6621 0.2360
9 I 0.5909 0.9313 0.7659



PrEr5Th2: calculated powder X-ray diffraction pattern (Cu Ka), based on a crystal structure in Alexandria, relaxed with GGA-PBE.

Top 10 peaks for 2θ = 5–70°, by intensity:
d/Å	Rel. int.
2.901	100
2.531	35
1.770	24
1.523	22
2.476	16
1.499	14
1.450	12
1.790	12
1.522	7
7.155	2

Structural model:
Lattice parameters (Å, degrees): 8.7010 8.7010 3.5809 90.08 90.08 69.37
Element x y z (fractional)
1 Pr 0.0000 0.0000 0.0000
2 Er 0.1249 0.6199 0.5002
3 Er 0.3801 0.8751 0.4998
4 Er 0.5000 0.5000 0.0000
5 Er 0.6199 0.1249 0.5002
6 Er 0.8751 0.3801 0.4998
7 Th 0.2508 0.2508 0.0003
8 Th 0.7492 0.7492 0.9997



TbPr2DySe4: calculated powder X-ray diffraction pattern (Cu Ka), based on a crystal structure in Alexandria, relaxed with GGA-PBE.

Top 10 peaks for 2θ = 5–70°, by intensity:
d/Å	Rel. int.
2.952	100
2.113	25
2.063	24
1.685	13
2.123	13
1.476	12
2.052	12
3.371	9
1.754	8
1.696	6

Structural model:
Lattice parameters (Å, degrees): 7.1580 4.1041 7.3991 90.00 108.60 90.00
Element x y z (fractional)
1 Tb 0.0000 0.0000 0.0000
2 Pr 0.0000 0.5000 0.5000
3 Pr 0.5000 0.0000 0.5000
4 Dy 0.5000 0.5000 0.0000
5 Se 0.2453 0.5000 0.2335
6 Se 0.2568 0.0000 0.7671
7 Se 0.7432 0.0000 0.2329
8 Se 0.7547 0.5000 0.7665